Starting from the PBE geometry in Alexandria, the XRD peak list of SrPuCd was calculated for Cu Kα X-rays.
Intensities are scaled so that the largest is 100.

Principal peaks in the range 2θ from 10° to 80°, by intensity:
two_theta  I_rel  index
15.80  100  0 1 1
31.90  95  0 2 2
34.34  92  2 1 1
30.87  64  0 1 3
35.76  60  2 0 2
56.18  50  2 2 4
31.38  44  1 2 1
40.16  34  2 2 0
51.14  30  2 3 1
65.47  26  2 4 2

Cell and atoms:
abc: 5.900 6.926 9.567
angles: 90.00 90.00 90.00
Space group Imma (No. 74)
Inequivalent atoms, fractional coordinates:
Sr 0.000 0.250 0.120 (multiplicity 4)
Pu 0.250 0.250 0.750 (multiplicity 4)
Cd 0.000 0.000 0.500 (multiplicity 4)